Diffraction record for Mn3OF5. The PXRD pattern is calculated, not measured: it uses a GGA+U-relaxed structure and a wavelength of 1.5418 Å.
Lines closer than 0.1° are merged.

Most intense lines, 2θ from 5° to 70°, in order of rising 2θ:
2θ 25.89, I = 100, (1 1 2); 2θ 26.07, I = 97, (1 -1 0); 2θ 32.69, I = 27, (1 2 0); 2θ 32.80, I = 28, (2 1 0); 2θ 32.90, I = 26, (0 1 -2); 2θ 33.14, I = 26, (1 0 -2); 2θ 49.98, I = 32, (3 2 2); 2θ 50.30, I = 31, (0 3 0); 2θ 50.47, I = 32, (1 0 4); 2θ 63.92, I = 22, (4 1 2)

```
Mn3OF5
1.0
5.884 0.000 0.000
1.917 5.569 0.000
2.246 1.519 7.092
Mn O F
6 2 10
Direct
0.000 0.000 0.000 Mn
0.010 0.023 0.498 Mn
0.319 0.338 0.175 Mn
0.358 0.353 0.668 Mn
0.675 0.656 0.820 Mn
0.698 0.641 0.347 Mn
0.590 0.557 0.618 O
0.981 0.364 0.335 O
0.047 0.660 0.671 F
0.122 0.128 0.699 F
0.232 0.239 0.968 F
0.310 0.697 0.993 F
0.397 0.947 0.333 F
0.439 0.426 0.369 F
0.648 0.030 0.679 F
0.682 0.298 0.005 F
0.772 0.745 0.051 F
0.915 0.899 0.301 F
```